Simulated powder XRD pattern
Compound: Cu3Pd
Radiation: Cu Ka
Structure: DFT lattice parameters and positions (PBE)

abc: 2.7548 4.2664 4.4135
angles: 90.00 90.00 90.00
Space group Pmm2 (No. 25)
One atom of each set of equivalent atoms:
Cu (0.0000, 0.0000, 0.0000) [1 per cell]
Cu (0.0000, 0.5000, 0.3512) [1 per cell]
Cu (0.5000, 0.0000, 0.4898) [1 per cell]
Pd (0.5000, 0.5000, 0.8514) [1 per cell]

Main lines, sorted by position (10° ≤ 2θ ≤ 80°):
two_theta, d/Å, I_rel, (hkl)
38.52, 2.337, 19, 1 0 1
40.89, 2.207, 15, 0 0 2
42.37, 2.133, 35, 0 2 0
44.19, 2.050, 100, 1 1 1
46.32, 1.960, 33, 0 1 2
58.59, 1.576, 10, 1 2 1
60.35, 1.534, 9, 0 2 2
68.07, 1.377, 8, 2 0 0
72.89, 1.298, 12, 1 0 3
78.78, 1.215, 16, 1 3 1

---

Simulated powder XRD pattern
Compound: Cu3Pd5
Radiation: Cu Ka
Structure: DFT lattice parameters and positions (PBE)

abc: 5.4810 7.6068 10.9468
angles: 90.00 90.00 90.00
Space group Fmmm (No. 69)
One atom of each set of equivalent atoms:
Cu (0.0000, 0.0000, 0.0000) [4 per cell]
Cu (0.0000, 0.0000, 0.2489) [8 per cell]
Pd (0.0000, 0.0000, 0.5000) [4 per cell]
Pd (0.2500, 0.2500, 0.1270) [16 per cell]

Main lines, sorted by position (10° ≤ 2θ ≤ 80°):
two_theta, d/Å, I_rel, (hkl)
21.57, 4.120, 1, 1 1 1
23.39, 3.803, 3, 0 2 0
32.70, 2.739, 2, 2 0 0
40.59, 2.222, 100, 2 2 0
46.92, 1.936, 33, 2 0 4
47.83, 1.902, 15, 0 4 0
53.07, 1.726, 1, 2 2 4
68.47, 1.370, 5, 4 0 0
68.58, 1.368, 5, 0 0 8
69.25, 1.357, 19, 2 4 4

---

What did the second record say?
Simulated powder XRD pattern
Compound: Cu3Pd5
Radiation: Cu Ka
Structure: DFT lattice parameters and positions (PBE)

abc: 5.4810 7.6068 10.9468
angles: 90.00 90.00 90.00
Space group Fmmm (No. 69)
One atom of each set of equivalent atoms:
Cu (0.0000, 0.0000, 0.0000) [4 per cell]
Cu (0.0000, 0.0000, 0.2489) [8 per cell]
Pd (0.0000, 0.0000, 0.5000) [4 per cell]
Pd (0.2500, 0.2500, 0.1270) [16 per cell]

Main lines, sorted by position (10° ≤ 2θ ≤ 80°):
two_theta, d/Å, I_rel, (hkl)
21.57, 4.120, 1, 1 1 1
23.39, 3.803, 3, 0 2 0
32.70, 2.739, 2, 2 0 0
40.59, 2.222, 100, 2 2 0
46.92, 1.936, 33, 2 0 4
47.83, 1.902, 15, 0 4 0
53.07, 1.726, 1, 2 2 4
68.47, 1.370, 5, 4 0 0
68.58, 1.368, 5, 0 0 8
69.25, 1.357, 19, 2 4 4